Diffraction record for LiReO4. The powder diffraction line list is theoretical, not measured: it uses DFT lattice parameters and positions (GGA-PBE) and Cu Kα, 1.54184 Å.

Largest 10 diffraction maxima, by angle, 2θ = 10–80°:
- (0 1 0), d = 5.669 Å, intensity 23
- (1 0 0), d = 4.625 Å, intensity 100
- (0 1 1), d = 3.683 Å, intensity 100
- (1 1 0), d = 3.584 Å, intensity 20
- (1 1 -1), d = 2.890 Å, intensity 54
- (1 1 1), d = 2.873 Å, intensity 53
- (0 0 2), d = 2.419 Å, intensity 31
- (1 2 1), d = 2.159 Å, intensity 26
- (1 0 -2), d = 2.153 Å, intensity 20
- (2 0 -2), d = 1.678 Å, intensity 20

Structure:
a b c (Å): 4.6256 5.6694 4.8455
angles (deg): 90.00 90.43 90.00
Space group P2/c (No. 13)
Inequivalent atoms, fractional coordinates:
Li 0.0000 0.1694 0.2500 (multiplicity 2)
Re 0.5000 0.3131 0.7500 (multiplicity 2)
O 0.2454 0.1231 0.6006 (multiplicity 4)
O 0.2825 0.3944 0.0597 (multiplicity 4)